Record 1
Structure and calculated powder XRD pattern of Tl4S3 (a PBE-relaxed structure; Cu Kα).
Peak positions follow from Bragg's law for the DFT cell and can differ from measured ones.

Structure:
Cell lengths 8.287, 13.097, 8.111 Å; angles 90.00, 103.55, 90.00 degrees
Space group P2_1/c (No. 14)
One atom of each set of equivalent atoms:
Tl 0.031 0.003 0.273 (multiplicity 4)
Tl 0.206 0.224 0.039 (multiplicity 4)
Tl 0.304 0.709 0.586 (multiplicity 4)
Tl 0.409 0.535 0.222 (multiplicity 4)
S 0.004 0.248 0.242 (multiplicity 4)
S 0.260 0.028 0.043 (multiplicity 4)
S 0.460 0.163 0.580 (multiplicity 4)

Peak list (6 most intense, 10° ≤ 2θ ≤ 80°, low angle first)
- hkl 2 2 0, 2θ 26.0, I 65
- hkl 0 2 2, 2θ 26.4, I 100
- hkl 0 4 0, 2θ 27.2, I 51
- hkl 2 0 -2, 2θ 27.7, I 59
- hkl 2 1 1, 2θ 28.0, I 37
- hkl 2 3 -1, 2θ 30.4, I 31

---

Record 2
Structure and calculated powder XRD pattern of NaZnCu4 (a PBE-relaxed structure; Cu Kα).
Peak positions follow from Bragg's law for the DFT cell and can differ from measured ones.

Structure:
Cell lengths 7.037, 7.037, 7.037 Å; angles 90.00, 90.00, 90.00 degrees
Space group F-43m (No. 216)
One atom of each set of equivalent atoms:
Na 0.000 0.000 0.000 (multiplicity 4)
Zn 0.250 0.250 0.250 (multiplicity 4)
Cu 0.124 0.124 0.624 (multiplicity 16)

Peak list (6 most intense, 10° ≤ 2θ ≤ 80°, low angle first)
- hkl 1 1 1, 2θ 21.9, I 28
- hkl 2 2 0, 2θ 36.1, I 17
- hkl 3 1 1, 2θ 42.6, I 100
- hkl 2 2 2, 2θ 44.6, I 52
- hkl 3 3 3, 2θ 69.4, I 28
- hkl 4 4 0, 2θ 76.6, I 24

---

Record 3
Structure and calculated powder XRD pattern of PuAlCl (a PBE-relaxed structure; Cu Kα).
Peak positions follow from Bragg's law for the DFT cell and can differ from measured ones.

Structure:
Cell lengths 4.2783, 4.2783, 30.9841 Å; angles 90.00, 90.00, 120.00 degrees
Space group R-3m (No. 166, hexagonal axes)
One atom of each set of equivalent atoms:
Pu 0.0000 0.0000 0.0690 (multiplicity 6)
Al 0.0000 0.0000 0.3380 (multiplicity 6)
Cl 0.0000 0.0000 0.2171 (multiplicity 6)

Peak list (6 most intense, 10° ≤ 2θ ≤ 80°, low angle first)
- hkl 0 0 6, 2θ 17.2, I 58
- hkl 1 0 1, 2θ 24.2, I 98
- hkl 1 0 7, 2θ 31.5, I 100
- hkl 0 1 8, 2θ 33.5, I 56
- hkl 1 1 0, 2θ 42.2, I 48
- hkl 1 1 6, 2θ 45.9, I 30

---

Record 4
Structure and calculated powder XRD pattern of MnI2 (a PBE-relaxed structure; Cu Kα).
Peak positions follow from Bragg's law for the DFT cell and can differ from measured ones.

Structure:
Cell lengths 4.1568, 4.1568, 30.3462 Å; angles 90.00, 90.00, 120.00 degrees
Space group P-3m1 (No. 164)
One atom of each set of equivalent atoms:
Mn 0.0000 0.0000 0.0000 (multiplicity 1)
Mn 0.0000 0.0000 0.5000 (multiplicity 1)
Mn 0.3333 0.6667 0.2500 (multiplicity 2)
I 0.0000 0.0000 0.3046 (multiplicity 2)
I 0.3333 0.6667 0.0545 (multiplicity 2)
I 0.3333 0.6667 0.5545 (multiplicity 2)
I 0.3333 0.6667 0.8045 (multiplicity 2)

Peak list (6 most intense, 10° ≤ 2θ ≤ 80°, low angle first)
- hkl 0 0 4, 2θ 11.7, I 57
- hkl 0 0 8, 2θ 23.5, I 29
- hkl 0 1 4, 2θ 27.4, I 100
- hkl 1 0 5, 2θ 28.8, I 33
- hkl 0 1 6, 2θ 30.5, I 29
- hkl 1 1 0, 2θ 43.5, I 52

---

Record 5
Structure and calculated powder XRD pattern of PuNb2Ru3 (a PBE-relaxed structure; Cu Kα).
Peak positions follow from Bragg's law for the DFT cell and can differ from measured ones.

Structure:
Cell lengths 3.141, 3.141, 10.542 Å; angles 90.00, 90.00, 90.00 degrees
Space group P4/mmm (No. 123)
One atom of each set of equivalent atoms:
Pu 0.000 0.000 0.000 (multiplicity 1)
Nb 0.000 0.000 0.341 (multiplicity 2)
Ru 0.500 0.500 0.201 (multiplicity 2)
Ru 0.500 0.500 0.500 (multiplicity 1)

Peak list (6 most intense, 10° ≤ 2θ ≤ 80°, low angle first)
- hkl 1 0 2, 2θ 33.2, I 15
- hkl 1 0 3, 2θ 38.4, I 100
- hkl 1 1 0, 2θ 40.6, I 48
- hkl 2 0 0, 2θ 58.8, I 16
- hkl 1 1 6, 2θ 68.0, I 13
- hkl 2 1 3, 2θ 72.5, I 31

---

Record 6
Structure and calculated powder XRD pattern of Hf4C2S (a PBE-relaxed structure; Cu Kα).
Peak positions follow from Bragg's law for the DFT cell and can differ from measured ones.

Structure:
Cell lengths 3.3503, 3.3503, 33.8761 Å; angles 90.00, 90.00, 120.00 degrees
Space group R-3m (No. 166, hexagonal axes)
One atom of each set of equivalent atoms:
Hf 0.0000 0.0000 0.1267 (multiplicity 6)
Hf 0.0000 0.0000 0.2792 (multiplicity 6)
C 0.0000 0.0000 0.4220 (multiplicity 6)
S 0.0000 0.0000 0.0000 (multiplicity 3)

Peak list (6 most intense, 10° ≤ 2θ ≤ 80°, low angle first)
- hkl 0 1 2, 2θ 31.3, I 28
- hkl 0 0 12, 2θ 31.7, I 27
- hkl 0 1 5, 2θ 33.6, I 61
- hkl 1 0 7, 2θ 36.1, I 100
- hkl 0 1 8, 2θ 37.6, I 34
- hkl 1 1 0, 2θ 54.8, I 40

---

Record 7
Structure and calculated powder XRD pattern of Zr2Pd2Ru (a PBE-relaxed structure; Cu Kα).
Peak positions follow from Bragg's law for the DFT cell and can differ from measured ones.

Structure:
Cell lengths 7.278, 7.278, 3.442 Å; angles 90.00, 90.00, 90.00 degrees
Space group P4/mbm (No. 127)
One atom of each set of equivalent atoms:
Zr 0.179 0.321 0.000 (multiplicity 4)
Pd 0.127 0.627 0.500 (multiplicity 4)
Ru 0.000 0.000 0.500 (multiplicity 2)

Peak list (6 most intense, 10° ≤ 2θ ≤ 80°, low angle first)
- hkl 2 0 1, 2θ 35.9, I 33
- hkl 2 1 1, 2θ 38.1, I 100
- hkl 3 1 0, 2θ 39.1, I 48
- hkl 0 0 2, 2θ 53.2, I 15
- hkl 3 1 2, 2θ 68.0, I 18
- hkl 5 1 1, 2θ 71.6, I 13

---

Record 8
Structure and calculated powder XRD pattern of KCaAl2Br8 (a PBE-relaxed structure; Cu Kα).
Peak positions follow from Bragg's law for the DFT cell and can differ from measured ones.

Structure:
Cell lengths 7.0361, 7.0361, 29.9648 Å; angles 90.00, 90.00, 120.00 degrees
Space group R-3 (No. 148, hexagonal axes)
One atom of each set of equivalent atoms:
K 0.0000 0.0000 0.0000 (multiplicity 3)
Ca 0.0000 0.0000 0.5000 (multiplicity 3)
Al 0.0000 0.0000 0.2481 (multiplicity 6)
Br 0.0000 0.0000 0.3267 (multiplicity 6)
Br 0.0036 0.3422 0.5582 (multiplicity 18)

Peak list (6 most intense, 10° ≤ 2θ ≤ 80°, low angle first)
- hkl 1 1 3, 2θ 26.8, I 100
- hkl 2 -1 6, 2θ 31.1, I 54
- hkl 1 1 12, 2θ 44.5, I 25
- hkl 3 0 0, 2θ 44.6, I 27
- hkl 4 -2 3, 2θ 52.8, I 32
- hkl 2 2 6, 2θ 55.4, I 10

---

Record 9
Structure and calculated powder XRD pattern of Fe5Sb (a PBE-relaxed structure; Cu Kα).
Peak positions follow from Bragg's law for the DFT cell and can differ from measured ones.

Structure:
Cell lengths 3.097, 3.097, 8.290 Å; angles 90.00, 90.00, 90.00 degrees
Space group P4/mmm (No. 123)
One atom of each set of equivalent atoms:
Fe 0.000 0.000 0.000 (multiplicity 1)
Fe 0.000 0.000 0.312 (multiplicity 2)
Fe 0.500 0.500 0.160 (multiplicity 2)
Sb 0.500 0.500 0.500 (multiplicity 1)

Peak list (6 most intense, 10° ≤ 2θ ≤ 80°, low angle first)
- hkl 1 0 1, 2θ 30.8, I 8
- hkl 1 0 2, 2θ 36.2, I 10
- hkl 1 1 0, 2θ 41.2, I 64
- hkl 1 0 3, 2θ 43.9, I 100
- hkl 2 0 0, 2θ 59.7, I 20
- hkl 2 1 3, 2θ 77.0, I 34

---

Record 10
Structure and calculated powder XRD pattern of MgCd11Hg17 (a PBE-relaxed structure; Cu Kα).
Peak positions follow from Bragg's law for the DFT cell and can differ from measured ones.

Structure:
Cell lengths 9.118, 9.934, 10.082 Å; angles 107.71, 105.47, 112.21 degrees
Space group P1 (No. 1)
One atom of each set of equivalent atoms:
Mg 0.000 0.000 0.000 (multiplicity 1)
Cd 0.005 0.775 0.427 (multiplicity 1)
Cd 0.148 0.528 0.992 (multiplicity 1)
Cd 0.202 0.395 0.240 (multiplicity 1)
Cd 0.380 0.553 0.833 (multiplicity 1)
Cd 0.394 0.196 0.241 (multiplicity 1)
Cd 0.406 0.992 0.662 (multiplicity 1)
Cd 0.569 0.153 0.018 (multiplicity 1)
Cd 0.581 0.365 0.842 (multiplicity 1)
Cd 0.759 0.757 0.597 (multiplicity 1)
Cd 0.777 0.964 0.413 (multiplicity 1)
Cd 0.990 0.349 0.623 (multiplicity 1)
Hg 0.151 0.880 0.797 (multiplicity 1)
Hg 0.156 0.878 0.219 (multiplicity 1)
Hg 0.180 0.149 0.571 (multiplicity 1)
Hg 0.205 0.606 0.549 (multiplicity 1)
Hg 0.275 0.261 0.947 (multiplicity 1)
Hg 0.408 0.768 0.380 (multiplicity 1)
Hg 0.443 0.872 0.095 (multiplicity 1)
Hg 0.453 0.443 0.549 (multiplicity 1)
Hg 0.583 0.577 0.231 (multiplicity 1)
Hg 0.597 0.176 0.525 (multiplicity 1)
Hg 0.611 0.863 0.823 (multiplicity 1)
Hg 0.762 0.755 0.075 (multiplicity 1)
Hg 0.784 0.429 0.396 (multiplicity 1)
Hg 0.872 0.140 0.786 (multiplicity 1)
Hg 0.878 0.593 0.803 (multiplicity 1)
Hg 0.889 0.148 0.239 (multiplicity 1)
Hg 0.897 0.469 0.129 (multiplicity 1)

Peak list (6 most intense, 10° ≤ 2θ ≤ 80°, low angle first)
- hkl -2 2 2, 2θ 30.5, I 85
- hkl 2 -2 2, 2θ 30.9, I 84
- hkl 2 -1 2, 2θ 32.5, I 74
- hkl 2 2 -1, 2θ 35.2, I 90
- hkl 1 2 -4, 2θ 36.8, I 100
- hkl 1 -4 2, 2θ 36.9, I 72

---

Record 11
Structure and calculated powder XRD pattern of CsTeF5 (a PBE-relaxed structure; Cu Kα).
Peak positions follow from Bragg's law for the DFT cell and can differ from measured ones.

Structure:
Cell lengths 10.754, 6.573, 8.447 Å; angles 90.00, 90.00, 90.00 degrees
Space group Pnma (No. 62)
One atom of each set of equivalent atoms:
Cs 0.166 0.250 0.130 (multiplicity 4)
Te 0.070 0.250 0.635 (multiplicity 4)
F 0.066 0.036 0.805 (multiplicity 8)
F 0.133 0.038 0.480 (multiplicity 8)
F 0.243 0.250 0.692 (multiplicity 4)

Peak list (6 most intense, 10° ≤ 2θ ≤ 80°, low angle first)
- hkl 2 1 0, 2θ 21.4, I 100
- hkl 1 0 2, 2θ 22.6, I 43
- hkl 2 1 1, 2θ 23.8, I 25
- hkl 1 1 2, 2θ 26.4, I 66
- hkl 4 0 1, 2θ 35.0, I 23
- hkl 1 2 2, 2θ 35.6, I 49

---

Record 12
Structure and calculated powder XRD pattern of Pa2Si6Pt21 (a PBE-relaxed structure; Cu Kα).
Peak positions follow from Bragg's law for the DFT cell and can differ from measured ones.

Structure:
Cell lengths 12.330, 12.330, 12.330 Å; angles 90.00, 90.00, 90.00 degrees
Space group Fm-3m (No. 225)
One atom of each set of equivalent atoms:
Pa 0.250 0.250 0.250 (multiplicity 8)
Si 0.000 0.000 0.237 (multiplicity 24)
Pt 0.000 0.000 0.500 (multiplicity 4)
Pt 0.000 0.173 0.327 (multiplicity 48)
Pt 0.116 0.116 0.116 (multiplicity 32)

Peak list (6 most intense, 10° ≤ 2θ ≤ 80°, low angle first)
- hkl 4 2 0, 2θ 32.5, I 25
- hkl 4 2 2, 2θ 35.7, I 30
- hkl 3 3 3, 2θ 37.9, I 100
- hkl 4 4 0, 2θ 41.4, I 26
- hkl 5 3 1, 2θ 43.4, I 29
- hkl 6 6 0, 2θ 64.1, I 29